# Sm4BI3Br2
Calculated XRD peak list, copper Kα. Input: a DFT-relaxed cell (PBE, OQMD).

Principal peaks in the range 2θ from 10° to 80°, in order of falling intensity:
| index | d/Å | 2θ (°) | I/Imax |
| --- | --- | --- | --- |
| 1 1 -2 | 2.992 | 29.9 | 100 |
| 6 0 0 | 3.091 | 28.9 | 45 |
| 0 0 1 | 8.559 | 10.3 | 39 |
| 5 1 -1 | 2.748 | 32.6 | 32 |
| 5 1 2 | 2.167 | 41.7 | 30 |
| 7 1 -2 | 2.133 | 42.4 | 27 |
| 0 2 0 | 2.051 | 44.2 | 19 |
| 3 1 -1 | 3.308 | 27.0 | 17 |
| 3 1 1 | 3.055 | 29.2 | 16 |
| 6 2 0 | 1.709 | 53.6 | 16 |

Cell and atoms:
```
data_Sm4BI3Br2
_chemical_formula_sum 'Sm8 B2 I6 Br4'
_cell_length_a 18.962
_cell_length_b 4.101
_cell_length_c 8.751
_cell_angle_alpha 90.00
_cell_angle_beta 102.02
_cell_angle_gamma 90.00
_symmetry_space_group_name_H-M 'C 1 2/m 1'
_symmetry_Int_Tables_number 12
_symmetry_space_group_name_Hall '-C 2y'
loop_
_atom_site_label
_atom_site_fract_x
_atom_site_fract_y
_atom_site_fract_z
_atom_site_occupancy
Sm1 0.001 0.000 0.300 1
Sm2 0.139 0.500 0.572 1
B1 0.000 0.500 0.500 1
I1 0.000 0.500 0.000 1
I2 0.173 0.000 0.320 1
Br1 0.158 0.000 0.819 1
```

# Tb2IBr2N
Calculated XRD peak list, copper Kα. Input: a DFT-relaxed cell (PBE, OQMD).

Principal peaks in the range 2θ from 10° to 80°, in order of falling intensity:
| index | d/Å | 2θ (°) | I/Imax |
| --- | --- | --- | --- |
| 6 0 -1 | 2.871 | 31.2 | 100 |
| 2 0 -1 | 8.802 | 10.0 | 86 |
| 1 1 2 | 2.796 | 32.0 | 85 |
| 1 1 -2 | 3.212 | 27.8 | 67 |
| 1 1 1 | 3.384 | 26.3 | 62 |
| 5 1 1 | 2.117 | 42.7 | 44 |
| 5 1 -3 | 2.535 | 35.4 | 41 |
| 7 1 -3 | 2.162 | 41.8 | 37 |
| 6 2 -1 | 1.626 | 56.6 | 36 |
| 5 1 -2 | 2.676 | 33.5 | 34 |

Cell and atoms:
```
data_Tb2IBr2N
_chemical_formula_sum 'Tb8 I4 Br8 N4'
_cell_length_a 18.279
_cell_length_b 3.945
_cell_length_c 11.539
_cell_angle_alpha 90.00
_cell_angle_beta 124.10
_cell_angle_gamma 90.00
_symmetry_space_group_name_H-M 'C 1 2/m 1'
_symmetry_Int_Tables_number 12
_symmetry_space_group_name_Hall '-C 2y'
loop_
_atom_site_label
_atom_site_fract_x
_atom_site_fract_y
_atom_site_fract_z
_atom_site_occupancy
Tb1 0.076 0.000 0.461 1
Tb2 0.133 0.500 0.785 1
I1 0.046 0.500 0.229 1
Br1 0.171 0.000 0.013 1
Br2 0.213 0.500 0.620 1
N1 0.073 0.000 0.655 1
```

# Y3CuTe5
Calculated XRD peak list, copper Kα. Input: a DFT-relaxed cell (PBE, OQMD).

Principal peaks in the range 2θ from 10° to 80°, in order of falling intensity:
| index | d/Å | 2θ (°) | I/Imax |
| --- | --- | --- | --- |
| 1 1 1 | 2.997 | 29.8 | 100 |
| 3 0 0 | 2.507 | 35.8 | 61 |
| 2 1 1 | 2.344 | 38.4 | 39 |
| 3 0 2 | 1.597 | 57.7 | 30 |
| 1 0 1 | 3.628 | 24.5 | 22 |
| 0 0 2 | 2.071 | 43.7 | 17 |
| 2 0 0 | 3.760 | 23.7 | 15 |
| 3 2 1 | 1.593 | 57.9 | 15 |
| 2 2 1 | 1.923 | 47.3 | 15 |
| 5 1 1 | 1.284 | 73.8 | 13 |

Cell and atoms:
```
data_Y3CuTe5
_chemical_formula_sum 'Y3 Cu1 Te5'
_cell_length_a 8.6844
_cell_length_b 8.6844
_cell_length_c 4.1422
_cell_angle_alpha 90.00
_cell_angle_beta 90.00
_cell_angle_gamma 120.00
_symmetry_space_group_name_H-M 'P -6 2 m'
_symmetry_Int_Tables_number 189
_symmetry_space_group_name_Hall 'P -6 -2'
loop_
_atom_site_label
_atom_site_fract_x
_atom_site_fract_y
_atom_site_fract_z
_atom_site_occupancy
Y1 0.0000 0.2796 0.0000 1
Cu1 0.0000 0.0000 0.5000 1
Te1 0.0000 0.7125 0.5000 1
Te2 0.3333 0.6667 0.0000 1
```

# KHfTeAuSe2
Calculated XRD peak list, copper Kα. Input: a DFT-relaxed cell (PBE, OQMD).

Principal peaks in the range 2θ from 10° to 80°, in order of falling intensity:
| index | d/Å | 2θ (°) | I/Imax |
| --- | --- | --- | --- |
| 0 2 0 | 7.863 | 11.3 | 100 |
| 1 3 2 | 2.731 | 32.8 | 39 |
| 1 3 1 | 3.036 | 29.4 | 34 |
| 1 5 2 | 2.243 | 40.2 | 23 |
| 0 0 4 | 2.708 | 33.1 | 22 |
| 0 2 4 | 2.561 | 35.0 | 14 |
| 1 3 5 | 1.787 | 51.1 | 11 |
| 2 2 4 | 1.568 | 58.9 | 11 |
| 2 0 0 | 1.983 | 45.8 | 11 |
| 2 0 4 | 1.600 | 57.6 | 10 |

Cell and atoms:
```
data_KHfTeAuSe2
_chemical_formula_sum 'K4 Hf4 Te4 Au4 Se8'
_cell_length_a 3.965
_cell_length_b 15.727
_cell_length_c 10.834
_cell_angle_alpha 90.00
_cell_angle_beta 90.00
_cell_angle_gamma 90.00
_symmetry_space_group_name_H-M 'C m c m'
_symmetry_Int_Tables_number 63
_symmetry_space_group_name_Hall '-C 2c 2'
loop_
_atom_site_label
_atom_site_fract_x
_atom_site_fract_y
_atom_site_fract_z
_atom_site_occupancy
K1 0.000 0.227 0.250 1
Hf1 0.000 0.000 0.000 1
Te1 0.000 0.083 0.750 1
Au1 0.000 0.458 0.750 1
Se1 0.000 0.383 0.539 1
```

# Li2Sm2O5
Calculated XRD peak list, copper Kα. Input: a DFT-relaxed cell (PBE, OQMD).

Principal peaks in the range 2θ from 10° to 80°, in order of falling intensity:
| index | d/Å | 2θ (°) | I/Imax |
| --- | --- | --- | --- |
| 1 0 0 | 3.727 | 23.9 | 100 |
| 1 0 2 | 2.561 | 35.0 | 87 |
| 1 1 2 | 2.111 | 42.8 | 76 |
| 1 1 0 | 2.635 | 34.0 | 37 |
| 2 1 2 | 1.507 | 61.5 | 35 |
| 0 0 2 | 3.525 | 25.3 | 35 |
| 2 0 0 | 1.863 | 48.9 | 29 |
| 2 1 0 | 1.667 | 55.1 | 21 |
| 1 0 4 | 1.593 | 57.9 | 18 |
| 2 0 2 | 1.647 | 55.8 | 17 |

Cell and atoms:
```
data_Li2Sm2O5
_chemical_formula_sum 'Li2 Sm2 O5'
_cell_length_a 3.727
_cell_length_b 3.727
_cell_length_c 7.050
_cell_angle_alpha 90.00
_cell_angle_beta 90.00
_cell_angle_gamma 90.00
_symmetry_space_group_name_H-M 'P 4/m m m'
_symmetry_Int_Tables_number 123
_symmetry_space_group_name_Hall '-P 4 2'
loop_
_atom_site_label
_atom_site_fract_x
_atom_site_fract_y
_atom_site_fract_z
_atom_site_occupancy
Li1 0.000 0.000 0.246 1
Sm1 0.500 0.500 0.000 1
Sm2 0.500 0.500 0.500 1
O1 0.000 0.000 0.500 1
O2 0.000 0.500 0.214 1
```

# Ho3In3IrPt
Calculated XRD peak list, copper Kα. Input: a DFT-relaxed cell (PBE, OQMD).

Principal peaks in the range 2θ from 10° to 80°, in order of falling intensity:
| index | d/Å | 2θ (°) | I/Imax |
| --- | --- | --- | --- |
| 1 1 1 | 2.637 | 34.0 | 100 |
| 2 0 1 | 2.449 | 36.7 | 69 |
| 1 2 0 | 2.500 | 35.9 | 68 |
| 1 0 0 | 6.613 | 13.4 | 28 |
| 1 2 2 | 1.473 | 63.1 | 26 |
| 1 4 1 | 1.342 | 70.1 | 23 |
| 3 1 1 | 1.639 | 56.1 | 20 |
| 3 0 0 | 2.204 | 40.9 | 19 |
| 2 3 1 | 1.401 | 66.8 | 18 |
| 0 0 2 | 1.823 | 50.0 | 17 |

Cell and atoms:
```
data_Ho3In3IrPt
_chemical_formula_sum 'Ho3 In3 Ir1 Pt1'
_cell_length_a 7.6366
_cell_length_b 7.6366
_cell_length_c 3.6458
_cell_angle_alpha 90.00
_cell_angle_beta 90.00
_cell_angle_gamma 120.00
_symmetry_space_group_name_H-M 'P -6'
_symmetry_Int_Tables_number 174
_symmetry_space_group_name_Hall 'P -6'
loop_
_atom_site_label
_atom_site_fract_x
_atom_site_fract_y
_atom_site_fract_z
_atom_site_occupancy
Ho1 0.0913 0.3404 0.0000 1
In1 0.4344 0.3358 0.5000 1
Ir1 0.3333 0.6667 0.5000 1
Pt1 0.0000 0.0000 0.5000 1
```

# SrLi3PdN3
Calculated XRD peak list, copper Kα. Input: a DFT-relaxed cell (PBE, OQMD).

Principal peaks in the range 2θ from 10° to 80°, in order of falling intensity:
| index | d/Å | 2θ (°) | I/Imax |
| --- | --- | --- | --- |
| 1 1 0 | 2.994 | 29.8 | 100 |
| 2 -1 3 | 2.719 | 32.9 | 63 |
| 1 0 7 | 2.455 | 36.6 | 58 |
| 1 0 4 | 3.552 | 25.1 | 52 |
| 0 1 5 | 3.118 | 28.6 | 51 |
| 0 0 3 | 6.503 | 13.6 | 43 |
| 3 0 0 | 1.728 | 53.0 | 39 |
| 1 0 1 | 5.011 | 17.7 | 33 |
| 2 1 7 | 1.603 | 57.5 | 28 |
| 0 2 7 | 1.898 | 47.9 | 22 |

Cell and atoms:
```
data_SrLi3PdN3
_chemical_formula_sum 'Sr6 Li18 Pd6 N18'
_cell_length_a 5.9871
_cell_length_b 5.9871
_cell_length_c 19.5079
_cell_angle_alpha 90.00
_cell_angle_beta 90.00
_cell_angle_gamma 120.00
_symmetry_space_group_name_H-M 'R -3'
_symmetry_Int_Tables_number 148
_symmetry_space_group_name_Hall '-R 3'
loop_
_atom_site_label
_atom_site_fract_x
_atom_site_fract_y
_atom_site_fract_z
_atom_site_occupancy
Sr1 0.0000 0.0000 0.1607 1
Li1 0.0342 0.2936 0.6982 1
Pd1 0.0000 0.0000 0.4209 1
N1 0.0052 0.6838 0.4101 1
```

# NaMgNi2As2
Calculated XRD peak list, copper Kα. Input: a DFT-relaxed cell (PBE, OQMD).

Principal peaks in the range 2θ from 10° to 80°, in order of falling intensity:
| index | d/Å | 2θ (°) | I/Imax |
| --- | --- | --- | --- |
| 1 1 2 | 2.093 | 43.2 | 100 |
| 0 0 1 | 6.364 | 13.9 | 92 |
| 2 0 0 | 1.965 | 46.2 | 52 |
| 1 0 1 | 3.344 | 26.7 | 49 |
| 1 1 1 | 2.547 | 35.2 | 32 |
| 1 0 2 | 2.473 | 36.3 | 20 |
| 2 2 0 | 1.390 | 67.4 | 16 |
| 1 1 3 | 1.686 | 54.4 | 16 |
| 2 0 1 | 1.878 | 48.5 | 15 |
| 2 1 1 | 1.694 | 54.1 | 14 |

Cell and atoms:
```
data_NaMgNi2As2
_chemical_formula_sum 'Na1 Mg1 Ni2 As2'
_cell_length_a 3.931
_cell_length_b 3.931
_cell_length_c 6.364
_cell_angle_alpha 90.00
_cell_angle_beta 90.00
_cell_angle_gamma 90.00
_symmetry_space_group_name_H-M 'P 4 m m'
_symmetry_Int_Tables_number 99
_symmetry_space_group_name_Hall 'P 4 -2'
loop_
_atom_site_label
_atom_site_fract_x
_atom_site_fract_y
_atom_site_fract_z
_atom_site_occupancy
Na1 0.000 0.000 0.000 1
Mg1 0.500 0.500 0.332 1
Ni1 0.000 0.500 0.655 1
As1 0.000 0.000 0.437 1
As2 0.500 0.500 0.874 1
```